Starting from the GGA-PBE geometry in Alexandria, the powder XRD pattern of RbCdIn4Hg2 was simulated for Cu Kα, 1.54184 Å.
Neutral-atom scattering factors, no anomalous dispersion.

Largest 10 diffraction maxima, by intensity, 10 to 90 degrees two-theta:
hkl  2θ/deg  I/Imax
1 1 3  37.77  100
2 0 0  35.61  87
1 1 1  26.67  58
1 0 1  19.89  43
1 0 2  25.62  40
3 1 3  65.39  39
2 2 0  51.25  30
1 0 4  41.67  26
1 0 3  33.15  23
1 1 2  31.25  23

Structure:
Cell: 5.042 5.042 9.604 Å, 90.00 90.00 90.00°
Sites, in units of the cell vectors:
Rb (0.000, 0.000, 0.000)
Cd (0.000, 0.000, 0.500)
In (0.000, 0.500, 0.329)
In (0.000, 0.500, 0.671)
In (0.500, 0.000, 0.329)
In (0.500, 0.000, 0.671)
Hg (0.500, 0.500, 0.152)
Hg (0.500, 0.500, 0.848)